Record 1
For NpCrP3, a PBE-relaxed structure gives the theoretical powder diffraction line list in this record (copper Kα).

Principal peaks in the range 15° ≤ 2θ ≤ 90°, low angle first:
index  2theta  I/Imax
1 1 1  25.22  100
2 1 1  28.55  50
2 0 2  37.25  27
2 2 0  38.02  29
4 1 1  39.34  66
4 1 3  64.20  30

```
data_NpCrP3
_cell_length_a 11.6541
_cell_length_b 5.1792
_cell_length_c 5.3038
_cell_angle_alpha 90.00
_cell_angle_beta 90.00
_cell_angle_gamma 90.00
_symmetry_space_group_name_H-M 'P b c m'
_symmetry_Int_Tables_number 57
_symmetry_space_group_name_Hall '-P 2c 2b'
loop_
_atom_site_label
_atom_site_type_symbol
_atom_site_fract_x
_atom_site_fract_y
_atom_site_fract_z
Np1 Np 0.1883 0.0048 0.2500
Cr1 Cr 0.4220 0.7500 0.0000
P1 P 0.0017 0.7500 0.0000
P2 P 0.2902 0.0014 0.7500
P3 P 0.4248 0.1204 0.2500
```

Record 2
For NpCrTcP2, a PBE-relaxed structure gives the theoretical powder diffraction line list in this record (copper Kα).

Principal peaks in the range 15° ≤ 2θ ≤ 90°, low angle first:
index  2theta  I/Imax
1 0 1  24.28  68
1 0 3  34.89  57
1 1 2  36.84  100
2 0 0  46.22  34
1 0 5  50.39  22
2 1 3  59.19  25

```
data_NpCrTcP2
_cell_length_a 3.9286
_cell_length_b 3.9286
_cell_length_c 10.2042
_cell_angle_alpha 90.00
_cell_angle_beta 90.00
_cell_angle_gamma 90.00
_symmetry_space_group_name_H-M 'I -4 m 2'
_symmetry_Int_Tables_number 119
_symmetry_space_group_name_Hall 'I -4 -2'
loop_
_atom_site_label
_atom_site_type_symbol
_atom_site_fract_x
_atom_site_fract_y
_atom_site_fract_z
Np1 Np 0.0000 0.0000 0.0000
Cr1 Cr 0.0000 0.5000 0.2500
Tc1 Tc 0.0000 0.5000 0.7500
P1 P 0.0000 0.0000 0.3806
```

Record 3
For ZrNpCr2S6, a PBE-relaxed structure gives the theoretical powder diffraction line list in this record (copper Kα).

Principal peaks in the range 15° ≤ 2θ ≤ 90°, low angle first:
index  2theta  I/Imax
0 1 2  18.93  100
1 0 4  25.89  89
1 1 0  27.85  72
1 1 3  31.85  42
2 -1 6  41.82  98
3 0 0  49.27  45

```
data_ZrNpCr2S6
_cell_length_a 6.4062
_cell_length_b 6.4062
_cell_length_c 17.5486
_cell_angle_alpha 90.00
_cell_angle_beta 90.00
_cell_angle_gamma 120.00
_symmetry_space_group_name_H-M 'R 3'
_symmetry_Int_Tables_number 146
_symmetry_space_group_name_Hall 'R 3'
loop_
_atom_site_label
_atom_site_type_symbol
_atom_site_fract_x
_atom_site_fract_y
_atom_site_fract_z
Zr1 Zr 0.0000 0.0000 0.0000
Np1 Np 0.0000 0.0000 0.4931
Cr1 Cr 0.0000 0.0000 0.1887
Cr2 Cr 0.0000 0.0000 0.6840
S1 S 0.0270 0.6831 0.2640
S2 S 0.0540 0.3393 0.7619
```

- What is the formula in the third record?
  ZrNpCr2S6